Starting from a GGA-PBE-relaxed structure, the powder diffraction line list of Ce2Si2HRu was simulated for CuKα.
Neutral-atom scattering factors, no anomalous dispersion.

The 10 most intense peaks (2θ = 15–90°), in order of rising 2θ:
- d = 4.900 Å, 18.10 deg, intensity 94, (0 0 3)
- d = 3.675 Å, 24.22 deg, intensity 19, (0 0 4)
- d = 2.740 Å, 32.69 deg, intensity 100, (1 0 0)
- d = 2.450 Å, 36.68 deg, intensity 20, (0 0 6)
- d = 2.391 Å, 37.61 deg, intensity 61, (1 0 3)
- d = 2.196 Å, 41.09 deg, intensity 19, (1 0 4)
- d = 1.937 Å, 46.90 deg, intensity 36, (1 1 0)
- d = 1.826 Å, 49.94 deg, intensity 33, (1 0 6)
- d = 1.802 Å, 50.67 deg, intensity 26, (1 1 3)
- d = 1.520 Å, 60.97 deg, intensity 18, (1 1 6)

Structural model:
```
data_Ce2Si2HRu
_symmetry_space_group_name_H-M 'P 4/m m m'
_symmetry_Int_Tables_number 123
_symmetry_space_group_name_Hall '-P 4 2'
_cell_length_a 2.740
_cell_length_b 2.740
_cell_length_c 14.700
_cell_angle_alpha 90.00
_cell_angle_beta 90.00
_cell_angle_gamma 90.00
loop_
_atom_site_label
_atom_site_fract_x
_atom_site_fract_y
_atom_site_fract_z
Ce1 0.000 0.000 0.142
Si1 0.000 0.000 0.341
H1 0.000 0.000 0.000
Ru1 0.000 0.000 0.500
```


Starting from a GGA-PBE-relaxed structure, the powder diffraction line list of Na3Sc2P3O12 was simulated for CuKα.
Neutral-atom scattering factors, no anomalous dispersion.

The 10 most intense peaks (2θ = 15–90°), in order of rising 2θ:
- d = 4.567 Å, 19.44 deg, intensity 79, (1 0 4)
- d = 3.898 Å, 22.82 deg, intensity 68, (1 1 3)
- d = 3.727 Å, 23.88 deg, intensity 39, (0 0 6)
- d = 3.231 Å, 27.60 deg, intensity 38, (0 2 4)
- d = 2.967 Å, 30.12 deg, intensity 45, (2 1 1)
- d = 2.889 Å, 30.96 deg, intensity 100, (1 1 6)
- d = 2.640 Å, 33.96 deg, intensity 61, (3 0 0)
- d = 2.186 Å, 41.30 deg, intensity 31, (2 2 3)
- d = 2.044 Å, 44.32 deg, intensity 25, (1 3 4)
- d = 1.949 Å, 46.61 deg, intensity 49, (2 2 6)

Structural model:
```
data_Na3Sc2P3O12
_symmetry_space_group_name_H-M 'R -3 c'
_symmetry_Int_Tables_number 167
_symmetry_space_group_name_Hall '-R 3 2"c'
_cell_length_a 9.1455
_cell_length_b 9.1455
_cell_length_c 22.3598
_cell_angle_alpha 90.00
_cell_angle_beta 90.00
_cell_angle_gamma 120.00
loop_
_atom_site_label
_atom_site_fract_x
_atom_site_fract_y
_atom_site_fract_z
Na1 0.0000 0.3728 0.2500
Sc1 0.0000 0.0000 0.1471
P1 0.0000 0.2918 0.7500
O1 0.0230 0.1980 0.4088
O2 0.0294 0.2091 0.6943
```


Starting from a GGA-PBE-relaxed structure, the powder diffraction line list of K3InCl6 was simulated for CuKα.
Neutral-atom scattering factors, no anomalous dispersion.

The 10 most intense peaks (2θ = 15–90°), in order of rising 2θ:
- d = 5.502 Å, 16.11 deg, intensity 67, (2 0 0)
- d = 3.890 Å, 22.86 deg, intensity 73, (2 2 0)
- d = 3.176 Å, 28.09 deg, intensity 19, (2 2 2)
- d = 2.751 Å, 32.55 deg, intensity 100, (4 0 0)
- d = 2.460 Å, 36.52 deg, intensity 29, (4 2 0)
- d = 2.246 Å, 40.15 deg, intensity 30, (4 2 2)
- d = 1.945 Å, 46.70 deg, intensity 63, (4 4 0)
- d = 1.588 Å, 58.08 deg, intensity 20, (4 4 4)
- d = 1.470 Å, 63.24 deg, intensity 17, (6 4 2)
- d = 1.230 Å, 77.61 deg, intensity 23, (8 4 0)

Structural model:
```
data_K3InCl6
_symmetry_space_group_name_H-M 'F m -3 m'
_symmetry_Int_Tables_number 225
_symmetry_space_group_name_Hall '-F 4 2 3'
_cell_length_a 11.003
_cell_length_b 11.003
_cell_length_c 11.003
_cell_angle_alpha 90.00
_cell_angle_beta 90.00
_cell_angle_gamma 90.00
loop_
_atom_site_label
_atom_site_fract_x
_atom_site_fract_y
_atom_site_fract_z
K1 0.000 0.000 0.000
K2 0.250 0.250 0.250
In1 0.000 0.000 0.500
Cl1 0.000 0.000 0.270
```


Starting from a GGA-PBE-relaxed structure, the powder diffraction line list of ErBi12O20 was simulated for CuKα.
Neutral-atom scattering factors, no anomalous dispersion.

The 10 most intense peaks (2θ = 15–90°), in order of rising 2θ:
- d = 3.269 Å, 27.28 deg, intensity 100, (3 1 0)
- d = 2.984 Å, 29.95 deg, intensity 25, (2 2 2)
- d = 2.762 Å, 32.41 deg, intensity 70, (3 2 1)
- d = 2.027 Å, 44.71 deg, intensity 16, (4 1 3)
- d = 1.773 Å, 51.56 deg, intensity 42, (5 0 3)
- d = 1.723 Å, 53.17 deg, intensity 20, (6 0 0)
- d = 1.677 Å, 54.75 deg, intensity 31, (5 3 2)
- d = 1.524 Å, 60.78 deg, intensity 22, (6 3 1)
- d = 1.235 Å, 77.22 deg, intensity 18, (6 3 5)
- d = 1.218 Å, 78.53 deg, intensity 17, (6 6 0)

Structural model:
```
data_ErBi12O20
_symmetry_space_group_name_H-M 'I 2 3'
_symmetry_Int_Tables_number 197
_symmetry_space_group_name_Hall 'I 2 2 3'
_cell_length_a 10.336
_cell_length_b 10.336
_cell_length_c 10.336
_cell_angle_alpha 90.00
_cell_angle_beta 90.00
_cell_angle_gamma 90.00
loop_
_atom_site_label
_atom_site_fract_x
_atom_site_fract_y
_atom_site_fract_z
Er1 0.000 0.000 0.000
Bi1 0.008 0.176 0.318
O1 0.010 0.369 0.746
O2 0.120 0.120 0.880
O3 0.178 0.178 0.178
```


Starting from a GGA-PBE-relaxed structure, the powder diffraction line list of Ca2Al4Si8O33 was simulated for CuKα.
Neutral-atom scattering factors, no anomalous dispersion.

The 10 most intense peaks (2θ = 15–90°), in order of rising 2θ:
- d = 4.508 Å, 19.69 deg, intensity 52, (2 2 -1)
- d = 4.231 Å, 21.00 deg, intensity 100, (1 3 0)
- d = 3.692 Å, 24.10 deg, intensity 82, (4 0 -1)
- d = 3.504 Å, 25.42 deg, intensity 82, (0 0 2)
- d = 3.323 Å, 26.83 deg, intensity 92, (0 4 0)
- d = 3.230 Å, 27.62 deg, intensity 40, (3 3 -1)
- d = 3.107 Å, 28.73 deg, intensity 58, (4 2 0)
- d = 3.070 Å, 29.09 deg, intensity 80, (1 1 2)
- d = 2.627 Å, 34.13 deg, intensity 40, (2 4 1)
- d = 2.471 Å, 36.36 deg, intensity 49, (4 4 -1)

Structural model:
```
data_Ca2Al4Si8O33
_symmetry_space_group_name_H-M 'C 1 2/m 1'
_symmetry_Int_Tables_number 12
_cell_length_a 14.977
_cell_length_b 13.308
_cell_length_c 7.464
_cell_angle_alpha 90.00
_cell_angle_beta 110.13
_cell_angle_gamma 90.00
loop_
_symmetry_equiv_pos_as_xyz
'x,y,z'
'-x,-y,-z'
'-x,y,-z'
'x,-y,z'
'x+1/2,y+1/2,z'
'-x+1/2,-y+1/2,-z'
'-x+1/2,y+1/2,-z'
'x+1/2,-y+1/2,z'
loop_
_atom_site_label
_atom_site_fract_x
_atom_site_fract_y
_atom_site_fract_z
Ca1 0.248 0.000 0.283
Al1 0.129 0.307 0.733
Si1 0.077 0.383 0.315
Si2 0.239 0.383 0.152
O1 0.000 0.000 0.500
O2 0.000 0.079 0.000
O3 0.014 0.312 0.734
O4 0.046 0.500 0.258
O5 0.061 0.000 0.963
O6 0.139 0.122 0.369
O7 0.142 0.381 0.544
O8 0.146 0.345 0.198
O9 0.168 0.183 0.732
O10 0.216 0.376 0.921
O11 0.237 0.000 0.779
```